# 1
Y3Ag: simulated X-ray powder pattern (Cu Kα (λ = 1.5418 Å)), based on DFT lattice parameters and positions (GGA-PBE).
Kinematic intensities with the Lorentz-polarization factor, no thermal factor.

Cell and atoms:
Cell lengths 6.1746, 9.2052, 9.2061 Å; angles 83.58, 70.45, 70.45 degrees
Sites, in units of the cell vectors:
Y1 0.0000 0.0000 0.0000
Y2 0.0086 0.2765 0.7061
Y3 0.0776 0.6296 0.7605
Y4 0.1451 0.8290 0.3592
Y5 0.3429 0.4473 0.3469
Y6 0.3717 0.2851 0.9913
Y7 0.4765 0.6469 0.9456
Y8 0.5332 0.0457 0.3617
Y9 0.6564 0.9912 0.7149
Y10 0.6819 0.6320 0.5438
Y11 0.8675 0.6443 0.1622
Y12 0.9496 0.2308 0.3443
Ag1 0.2227 0.9222 0.6515
Ag2 0.4974 0.9365 0.0692
Ag3 0.5118 0.3397 0.6372
Ag4 0.8052 0.3542 0.0546

Largest 12 diffraction maxima, in order of falling intensity, 2θ from 10° to 90°:
(hkl)  Position (°2θ)  intensity
1 2 -2  33.4  100
1 -2 1  30.0  89
2 3 1  35.7  72
2 2 1  30.7  72
0 3 0  30.9  69
0 1 3  32.6  40
0 3 2  37.4  32
1 2 4  42.3  28
2 6 1  61.3  27
2 4 4  53.8  21
3 -1 2  51.9  21
2 3 0  37.2  20

=====

# 2
Cs3GeSe4: simulated X-ray powder pattern (Cu Kα (λ = 1.5418 Å)), based on DFT lattice parameters and positions (GGA-PBE).
Kinematic intensities with the Lorentz-polarization factor, no thermal factor.

Cell and atoms:
Cell lengths 15.8894, 11.1743, 7.8839 Å; angles 90.00, 90.00, 90.00 degrees
Sites, in units of the cell vectors:
Cs1 0.0535 0.2500 0.1006
Cs2 0.1463 0.0026 0.6333
Cs3 0.1463 0.4974 0.6333
Cs4 0.3537 0.5026 0.1333
Cs5 0.3537 0.9974 0.1333
Cs6 0.4465 0.7500 0.6006
Cs7 0.5535 0.2500 0.3994
Cs8 0.6463 0.0026 0.8667
Cs9 0.6463 0.4974 0.8667
Cs10 0.8537 0.5026 0.3667
Cs11 0.8537 0.9974 0.3667
Cs12 0.9465 0.7500 0.8994
Ge1 0.1168 0.7500 0.2644
Ge2 0.3832 0.2500 0.7644
Ge3 0.6168 0.7500 0.2356
Ge4 0.8832 0.2500 0.7356
Se1 0.0037 0.7500 0.4605
Se2 0.1107 0.5694 0.1041
Se3 0.1107 0.9306 0.1041
Se4 0.2497 0.2500 0.8976
Se5 0.2503 0.7500 0.3976
Se6 0.3893 0.0694 0.6041
Se7 0.3893 0.4306 0.6041
Se8 0.4963 0.2500 0.9605
Se9 0.5037 0.7500 0.0395
Se10 0.6107 0.5694 0.3959
Se11 0.6107 0.9306 0.3959
Se12 0.7497 0.2500 0.6024
Se13 0.7503 0.7500 0.1024
Se14 0.8893 0.0694 0.8959
Se15 0.8893 0.4306 0.8959
Se16 0.9963 0.2500 0.5395

Largest 12 diffraction maxima, in order of falling intensity, 2θ from 10° to 90°:
(hkl)  Position (°2θ)  intensity
3 0 2  28.2  100
2 2 1  22.5  62
4 2 0  27.6  56
0 4 0  32.0  41
1 0 2  23.2  31
1 3 2  33.6  26
0 1 1  13.7  25
5 2 2  39.8  25
5 1 1  31.4  25
1 3 1  27.1  23
4 0 1  25.1  19
2 6 1  51.7  18

=====

- What is the formula in the second record?
  Cs3GeSe4